Starting from the GGA-PBE geometry in Alexandria, the powder diffractogram of Pm7Pr2Tm4 was computed for CuKα.
Intensities are scaled so that the largest is 100.

Atomic structure:
```
data_Pm7Pr2Tm4
_chemical_formula_sum 'Pm7 Pr2 Tm4'
_symmetry_space_group_name_H-M 'P -1'
_symmetry_Int_Tables_number 2
_cell_length_a 6.242
_cell_length_b 6.268
_cell_length_c 11.403
_cell_angle_alpha 90.09
_cell_angle_beta 100.55
_cell_angle_gamma 99.75
loop_
_symmetry_equiv_pos_as_xyz
'x,y,z'
'-x,-y,-z'
loop_
_atom_site_label
_atom_site_type_symbol
_atom_site_fract_x
_atom_site_fract_y
_atom_site_fract_z
_atom_site_occupancy
Pm1 Pm 0.000 0.000 0.000 1
Pm2 Pm 0.079 0.845 0.305 1
Pm3 Pm 0.231 0.540 0.924 1
Pm4 Pm 0.385 0.232 0.539 1
Pr1 Pr 0.153 0.696 0.618 1
Tm1 Tm 0.310 0.384 0.228 1
Tm2 Tm 0.464 0.079 0.848 1
```

Main lines, in order of rising 2θ (2θ from 5° to 70°):
| Position (°2θ) | I_rel | h k l |
| --- | --- | --- |
| 30.33 | 100 | 1 0 3 |
| 35.07 | 17 | 1 -2 2 |
| 35.22 | 34 | 2 1 0 |
| 50.49 | 12 | 1 3 -2 |
| 50.63 | 24 | 3 -1 2 |
| 59.98 | 11 | 3 -3 1 |
| 60.14 | 18 | 2 3 1 |
| 60.24 | 14 | 3 1 3 |
| 63.01 | 3 | 0 4 2 |
| 63.10 | 6 | 2 2 -6 |